Simulated X-ray diffraction stick pattern
Compound: LiU
Radiation: Cu Kα
Structure: a structure optimized by DFT (PBE)
No peak broadening, texture or thermal motion is included.

Structure:
Lattice parameters (Å, degrees): 2.8456 2.8456 5.6266 90.00 90.00 120.00
Sites, in units of the cell vectors:
Li (0.0000, 0.0000, 0.0000)
U (0.6667, 0.3333, 0.5000)

Top 10 peaks for 2θ from 10° to 90°, by angle:
| 2theta | I/Imax | (hkl) |
| --- | --- | --- |
| 15.75 | 1000 | 0 0 1 |
| 31.81 | 210 | 0 0 2 |
| 36.46 | 412 | 1 0 0 |
| 39.94 | 674 | 1 0 1 |
| 49.15 | 360 | 1 0 2 |
| 62.20 | 191 | 1 0 3 |
| 67.96 | 140 | 1 1 1 |
| 74.77 | 118 | 1 1 2 |
| 78.26 | 99 | 1 0 4 |
| 79.66 | 99 | 2 0 1 |